No. 1
The following is a calculated powder diffraction line list of YZnInTe3. It was derived from DFT lattice parameters and positions (GGA-PBE), using Cu Kα X-rays.
Peak positions follow from Bragg's law for the DFT cell and can differ from measured ones.

Largest 8 diffraction maxima, low angle first, 2θ from 10° to 90°:
Position (°2θ)  I (rel.)
25.94  45
26.99  31
28.10  100
31.04  29
31.21  59
31.68  31
41.73  33
48.13  36

Structural model:
Unit cell a=7.968 b=7.968 c=11.526 alpha=90.00 beta=90.00 gamma=148.48
Fractional positions:
Y: 0.000 0.000 0.000
Y: 0.000 0.000 0.500
Zn: 0.465 0.535 0.750
Zn: 0.535 0.465 0.250
In: 0.243 0.757 0.250
In: 0.757 0.243 0.750
Te: 0.075 0.925 0.750
Te: 0.363 0.637 0.562
Te: 0.363 0.637 0.938
Te: 0.637 0.363 0.062
Te: 0.637 0.363 0.438
Te: 0.925 0.075 0.250

---

No. 2
The following is a calculated powder diffraction line list of BaLu2Si3O10. It was derived from DFT lattice parameters and positions (GGA-PBE), using Cu Kα X-rays.
Peak positions follow from Bragg's law for the DFT cell and can differ from measured ones.

Largest 8 diffraction maxima, low angle first, 2θ from 10° to 90°:
Position (°2θ)  I (rel.)
15.54  38
18.78  38
26.16  69
28.26  100
29.04  48
31.37  26
33.79  26
41.88  36

Structural model:
Unit cell a=5.336 b=12.050 c=6.762 alpha=90.00 beta=106.73 gamma=90.00
Fractional positions:
Ba: 0.243 0.250 0.479
Ba: 0.757 0.750 0.521
Lu: 0.155 0.600 0.179
Lu: 0.155 0.900 0.179
Lu: 0.845 0.100 0.821
Lu: 0.845 0.400 0.821
Si: 0.303 0.558 0.710
Si: 0.303 0.942 0.710
Si: 0.418 0.250 0.013
Si: 0.582 0.750 0.987
Si: 0.697 0.058 0.290
Si: 0.697 0.442 0.290
O: 0.098 0.549 0.852
O: 0.098 0.951 0.852
O: 0.118 0.250 0.863
O: 0.158 0.620 0.495
O: 0.158 0.880 0.495
O: 0.362 0.750 0.110
O: 0.440 0.059 0.692
O: 0.440 0.441 0.692
O: 0.448 0.141 0.165
O: 0.448 0.359 0.165
O: 0.552 0.641 0.835
O: 0.552 0.859 0.835
O: 0.560 0.559 0.308
O: 0.560 0.941 0.308
O: 0.638 0.250 0.890
O: 0.842 0.120 0.505
O: 0.842 0.380 0.505
O: 0.882 0.750 0.137
O: 0.902 0.049 0.148
O: 0.902 0.451 0.148

---

No. 3
The following is a calculated powder diffraction line list of IrCl3. It was derived from DFT lattice parameters and positions (GGA-PBE), using Cu Kα X-rays.
Peak positions follow from Bragg's law for the DFT cell and can differ from measured ones.

Largest 8 diffraction maxima, low angle first, 2θ from 10° to 90°:
Position (°2θ)  I (rel.)
15.67  100
18.50  73
29.21  29
33.32  95
43.59  69
51.78  36
54.46  24
57.43  24

Structural model:
Unit cell a=6.114 b=6.114 c=11.311 alpha=90.00 beta=90.00 gamma=120.00
Fractional positions:
Ir: 0.000 0.000 0.250
Ir: 0.000 0.000 0.750
Ir: 0.333 0.667 0.250
Ir: 0.667 0.333 0.750
Cl: 0.018 0.334 0.136
Cl: 0.018 0.685 0.364
Cl: 0.315 0.334 0.364
Cl: 0.315 0.982 0.136
Cl: 0.334 0.018 0.636
Cl: 0.334 0.315 0.864
Cl: 0.666 0.685 0.136
Cl: 0.666 0.982 0.364
Cl: 0.685 0.018 0.864
Cl: 0.685 0.666 0.636
Cl: 0.982 0.315 0.636
Cl: 0.982 0.666 0.864

---

No. 4
The following is a calculated powder diffraction line list of InBi5Au3. It was derived from DFT lattice parameters and positions (GGA-PBE), using Cu Kα X-rays.
Peak positions follow from Bragg's law for the DFT cell and can differ from measured ones.

Largest 8 diffraction maxima, low angle first, 2θ from 10° to 90°:
Position (°2θ)  I (rel.)
10.32  46
27.24  39
30.51  66
31.32  43
36.94  60
41.35  100
63.49  28
72.51  25

Structural model:
Unit cell a=5.861 b=5.861 c=8.569 alpha=90.00 beta=90.00 gamma=120.00
Fractional positions:
In: 0.000 0.000 0.000
Bi: 0.000 0.000 0.500
Bi: 0.333 0.667 0.196
Bi: 0.333 0.667 0.804
Bi: 0.667 0.333 0.196
Bi: 0.667 0.333 0.804
Au: 0.000 0.500 0.500
Au: 0.500 0.000 0.500
Au: 0.500 0.500 0.500

---

No. 5
The following is a calculated powder diffraction line list of Pr2Dy2CIBr4. It was derived from DFT lattice parameters and positions (GGA-PBE), using Cu Kα X-rays.
Peak positions follow from Bragg's law for the DFT cell and can differ from measured ones.

Largest 8 diffraction maxima, low angle first, 2θ from 10° to 90°:
Position (°2θ)  I (rel.)
10.01  20
10.18  51
20.38  15
30.16  100
30.34  31
42.98  19
43.60  20
45.73  15

Structural model:
Unit cell a=9.288 b=9.288 c=8.924 alpha=102.76 beta=102.76 gamma=24.67
Fractional positions:
Pr: 0.001 0.001 0.304
Pr: 0.999 0.999 0.696
Dy: 0.364 0.364 0.432
Dy: 0.636 0.636 0.568
C: 0.500 0.500 0.500
I: 0.500 0.500 0.000
Br: 0.169 0.169 0.807
Br: 0.174 0.174 0.359
Br: 0.826 0.826 0.641
Br: 0.831 0.831 0.193

---

No. 6
The following is a calculated powder diffraction line list of NdGdB4. It was derived from DFT lattice parameters and positions (GGA-PBE), using Cu Kα X-rays.
Peak positions follow from Bragg's law for the DFT cell and can differ from measured ones.

Largest 8 diffraction maxima, low angle first, 2θ from 10° to 90°:
Position (°2θ)  I (rel.)
22.04  48
31.07  71
38.42  100
55.27  19
55.65  28
60.23  20
69.32  17
73.90  16

Structural model:
Unit cell a=3.323 b=5.758 c=8.066 alpha=90.00 beta=90.00 gamma=90.00
Fractional positions:
Nd: 0.000 0.000 0.000
Nd: 0.500 0.500 0.500
Gd: 0.000 0.000 0.500
Gd: 0.500 0.500 0.000
B: 0.000 0.334 0.249
B: 0.000 0.334 0.751
B: 0.000 0.666 0.249
B: 0.000 0.666 0.751
B: 0.500 0.166 0.251
B: 0.500 0.166 0.749
B: 0.500 0.834 0.251
B: 0.500 0.834 0.749